Starting from a DFT-relaxed cell (PBE, Alexandria), the PXRD pattern of NaNdS2O6 was computed for Cu Kα.

Structure:
Cell lengths 6.5229, 6.5229, 7.6583 Å; angles 93.41, 93.41, 107.51 degrees
Sites, in units of the cell vectors:
1 Na 0.1682 0.8318 0.7500
2 Na 0.8318 0.1682 0.2500
3 Nd 0.4196 0.5804 0.2500
4 Nd 0.5804 0.4196 0.7500
5 S 0.0936 0.3359 0.8566
6 S 0.3359 0.0936 0.3566
7 S 0.6641 0.9064 0.6434
8 S 0.9064 0.6641 0.1434
9 O 0.0360 0.5535 0.2583
10 O 0.1973 0.2118 0.7295
11 O 0.2118 0.1973 0.2295
12 O 0.3012 0.5294 0.9313
13 O 0.4465 0.9640 0.2417
14 O 0.4706 0.6988 0.5687
15 O 0.5294 0.3012 0.4313
16 O 0.5535 0.0360 0.7583
17 O 0.6988 0.4706 0.0687
18 O 0.7882 0.8027 0.7705
19 O 0.8027 0.7882 0.2705
20 O 0.9640 0.4465 0.7417

Principal peaks in the range 10° ≤ 2θ ≤ 90°, in order of falling intensity:
d/Å	I/Imax
6.200	100
3.810	65
2.957	50
5.013	45
2.987	42
2.793	35
2.486	30
3.134	27
2.029	27
2.287	24

=====

Starting from a DFT-relaxed cell (PBE, Alexandria), the PXRD pattern of CsNiPb2Cl8 was computed for Cu Kα.

Structure:
Cell lengths 6.5851, 7.2278, 8.4828 Å; angles 71.37, 89.05, 89.91 degrees
Sites, in units of the cell vectors:
1 Cs 0.0000 0.0000 0.0000
2 Ni 0.0000 0.5000 0.5000
3 Pb 0.4608 0.4666 0.2571
4 Pb 0.5392 0.5334 0.7429
5 Cl 0.0407 0.4421 0.2243
6 Cl 0.2390 0.2757 0.6061
7 Cl 0.2390 0.7335 0.4171
8 Cl 0.4921 0.7693 0.9573
9 Cl 0.5079 0.2307 0.0427
10 Cl 0.7610 0.2665 0.5829
11 Cl 0.7610 0.7243 0.3939
12 Cl 0.9593 0.5579 0.7757

Principal peaks in the range 10° ≤ 2θ ≤ 90°, in order of falling intensity:
d/Å	I/Imax
6.849	100
4.748	68
3.065	57
3.453	35
3.292	31
2.831	30
4.574	29
2.580	27
2.378	25
3.405	25

=====

Starting from a DFT-relaxed cell (PBE, Alexandria), the PXRD pattern of Rb2HfTc3O12 was computed for Cu Kα.

Structure:
Cell lengths 7.4226, 7.4226, 7.4226 Å; angles 59.10, 59.10, 59.10 degrees
Sites, in units of the cell vectors:
1 Rb 0.1187 0.1187 0.1187
2 Rb 0.8813 0.8813 0.8813
3 Hf 0.5000 0.5000 0.5000
4 Tc 0.0000 0.5000 0.5000
5 Tc 0.5000 0.0000 0.5000
6 Tc 0.5000 0.5000 0.0000
7 O 0.1692 0.5662 0.5662
8 O 0.1920 0.1920 0.5684
9 O 0.1920 0.5684 0.1920
10 O 0.4316 0.8080 0.8080
11 O 0.4338 0.4338 0.8308
12 O 0.4338 0.8308 0.4338
13 O 0.5662 0.1692 0.5662
14 O 0.5662 0.5662 0.1692
15 O 0.5684 0.1920 0.1920
16 O 0.8080 0.4316 0.8080
17 O 0.8080 0.8080 0.4316
18 O 0.8308 0.4338 0.4338

Principal peaks in the range 10° ≤ 2θ ≤ 90°, in order of falling intensity:
d/Å	I/Imax
3.139	100
2.996	70
5.991	65
3.170	59
1.830	36
1.855	33
1.997	32
1.585	30
3.124	24
2.005	22

=====

Starting from a DFT-relaxed cell (PBE, Alexandria), the PXRD pattern of Nd4TlGeTe2 was computed for Cu Kα.

Structure:
Cell lengths 6.3032, 6.3032, 12.6808 Å; angles 90.00, 90.00, 90.00 degrees
Sites, in units of the cell vectors:
1 Nd 0.0000 0.0000 0.2400
2 Nd 0.0000 0.0000 0.7600
3 Nd 0.0000 0.5000 0.5016
4 Nd 0.0000 0.5000 0.9984
5 Nd 0.5000 0.0000 0.0016
6 Nd 0.5000 0.0000 0.4984
7 Nd 0.5000 0.5000 0.2600
8 Nd 0.5000 0.5000 0.7400
9 Tl 0.0000 0.5000 0.2500
10 Tl 0.5000 0.0000 0.7500
11 Ge 0.0000 0.0000 0.0000
12 Ge 0.5000 0.5000 0.5000
13 Te 0.0000 0.0000 0.5000
14 Te 0.0000 0.5000 0.7500
15 Te 0.5000 0.0000 0.2500
16 Te 0.5000 0.5000 0.0000

Principal peaks in the range 10° ≤ 2θ ≤ 90°, in order of falling intensity:
d/Å	I/Imax
3.152	100
2.235	76
3.170	50
1.823	41
2.229	38
1.410	35
1.288	26
1.416	17
1.576	13
1.292	12